This entry pairs a crystal structure of LuAgGeTe3 with its calculated X-ray powder pattern. Radiation: copper Kα. Structure: the PBE geometry in OQMD.
Kinematic intensities with the Lorentz-polarization factor, no thermal factor.

Main lines, low angle first (5 to 70 degrees two-theta):
d [Å]  I_rel  index
7.218  29  0 0 2
3.310  31  3 0 2
3.093  39  1 1 3
2.789  100  2 1 3
2.207  47  2 1 5
2.165  26  0 2 0

Atomic structure:
```
LuAgGeTe3
1.0
11.174 0.000 0.000
0.000 4.329 0.000
0.000 0.000 14.436
Lu Ag Ge Te
4 4 4 12
Direct
0.024 0.250 0.240
0.476 0.750 0.740
0.524 0.250 0.260
0.976 0.750 0.760
0.247 0.250 0.731
0.253 0.750 0.231
0.747 0.250 0.769
0.753 0.750 0.269
0.175 0.750 0.485
0.325 0.250 0.985
0.675 0.750 0.015
0.825 0.250 0.515
0.049 0.250 0.606
0.072 0.750 0.105
0.238 0.750 0.856
0.262 0.250 0.356
0.428 0.250 0.605
0.451 0.750 0.106
0.549 0.250 0.894
0.572 0.750 0.395
0.738 0.750 0.644
0.762 0.250 0.144
0.928 0.250 0.895
0.951 0.750 0.394
```